Structure and computed X-ray diffraction stick pattern of CaCu5Cl12 (a GGA-PBE-relaxed structure; Cu Kα (λ = 1.5418 Å)).

Structural model:
Lattice parameters (Å, degrees): 5.9449 6.4805 13.1351 79.62 79.91 66.21
Positions (direct):
Ca 0.0000 0.0000 0.0000
Cu 0.0000 0.0000 0.5000
Cu 0.3291 0.3593 0.9935
Cu 0.3344 0.3321 0.5003
Cu 0.6656 0.6679 0.4997
Cu 0.6709 0.6407 0.0065
Cl 0.0129 0.4137 0.8954
Cl 0.0297 0.2379 0.6066
Cl 0.3041 0.0948 0.3938
Cl 0.3619 0.5723 0.6060
Cl 0.3741 0.8765 0.1174
Cl 0.4021 0.7159 0.8860
Cl 0.5979 0.2841 0.1140
Cl 0.6259 0.1235 0.8826
Cl 0.6381 0.4277 0.3940
Cl 0.6959 0.9052 0.6062
Cl 0.9703 0.7621 0.3934
Cl 0.9871 0.5863 0.1046

The 8 most intense peaks (2θ = 5–70°), in order of rising 2θ:
| h k l | 2theta | I/Imax |
| --- | --- | --- |
| 0 0 2 | 13.8 | 100.0 |
| 1 -1 1 | 27.2 | 14.5 |
| 1 -1 2 | 29.8 | 20.3 |
| 1 2 -2 | 34.2 | 12.4 |
| 2 1 4 | 37.7 | 10.6 |
| 1 -1 4 | 38.7 | 15.7 |
| 2 1 -4 | 45.7 | 9.2 |
| 0 3 2 | 46.7 | 10.1 |